The following is a theoretical PXRD pattern of TlIn10Hg3. It was derived from a crystal structure in Alexandria, relaxed with GGA-PBE, using Cu Kα X-rays.

Structure:
```
TlIn10Hg3
1.0
0.0000 7.4234 7.4234
7.4234 0.0000 7.4234
7.4234 7.4234 0.0000
Tl In Hg
2 20 6
Direct
0.2500 0.2500 0.2500
0.7500 0.7500 0.7500
0.0000 0.0000 0.3333
0.0000 0.0000 0.6667
0.0000 0.3333 0.0000
0.0000 0.3333 0.6667
0.0000 0.6667 0.0000
0.0000 0.6667 0.3333
0.1012 0.6329 0.6329
0.3333 0.0000 0.0000
0.3333 0.0000 0.6667
0.3333 0.6667 0.0000
0.3671 0.3671 0.3671
0.3671 0.3671 0.8988
0.3671 0.8988 0.3671
0.6329 0.1012 0.6329
0.6329 0.6329 0.1012
0.6329 0.6329 0.6329
0.6667 0.0000 0.0000
0.6667 0.0000 0.3333
0.6667 0.3333 0.0000
0.8988 0.3671 0.3671
0.2969 0.2969 0.7031
0.2969 0.7031 0.2969
0.2969 0.7031 0.7031
0.7031 0.2969 0.2969
0.7031 0.2969 0.7031
0.7031 0.7031 0.2969
```

Principal peaks in the range 2θ from 5° to 70°, by angle:
2θ (°), I/Imax
20.72, 37
31.31, 100
34.16, 41
35.78, 35
36.31, 30
40.29, 34
47.01, 16
52.28, 27
62.22, 15
64.98, 16


The following is a theoretical PXRD pattern of LiFe6Ge4. It was derived from a crystal structure in Alexandria, relaxed with GGA-PBE, using Cu Kα X-rays.

Structure:
```
LiFe6Ge4
1.0
2.5148 1.4519 6.4925
-2.5148 1.4519 6.4925
0.0000 -2.9038 6.4925
Li Fe Ge
1 6 4
Direct
0.0000 0.0000 0.0000
0.1138 0.6003 0.6003
0.3997 0.3997 0.8862
0.3997 0.8862 0.3997
0.6003 0.1138 0.6003
0.6003 0.6003 0.1138
0.8862 0.3997 0.3997
0.1268 0.1268 0.1268
0.3317 0.3317 0.3317
0.6683 0.6683 0.6683
0.8732 0.8732 0.8732
```

Principal peaks in the range 2θ from 5° to 70°, by angle:
2θ (°), I/Imax
13.64, 17
22.36, 15
27.47, 17
35.70, 19
38.39, 10
41.73, 70
45.63, 100
47.85, 60
56.07, 15
56.71, 13


The following is a theoretical PXRD pattern of CsTlAgSe2. It was derived from a crystal structure in Alexandria, relaxed with GGA-PBE, using Cu Kα X-rays.

Structure:
```
CsTlAgSe2
1.0
3.5560 -7.2667 0.0000
3.5560 7.2667 0.0000
0.0000 0.0000 6.6585
Cs Tl Ag Se
2 2 2 4
Direct
0.2500 0.7500 0.7567
0.7500 0.2500 0.2433
0.2500 0.2500 0.5000
0.7500 0.7500 0.5000
0.0000 0.0000 0.0000
0.5000 0.5000 0.0000
0.1242 0.8758 0.2606
0.3758 0.6242 0.2606
0.6242 0.3758 0.7394
0.8758 0.1242 0.7394
```

Principal peaks in the range 2θ from 5° to 70°, by angle:
2θ (°), I/Imax
12.18, 66
24.50, 33
25.97, 86
28.46, 53
29.51, 100
31.05, 85
36.00, 35
36.61, 34
36.99, 39
37.89, 57


The following is a theoretical PXRD pattern of La2ZnPd5. It was derived from a crystal structure in Alexandria, relaxed with GGA-PBE, using Cu Kα X-rays.

Structure:
```
La2ZnPd5
1.0
6.2816 0.0000 0.0000
0.0000 6.2816 0.0000
0.0000 0.0000 8.2512
La Zn Pd
4 2 10
Direct
0.0000 0.5000 0.0000
0.0000 0.5000 0.5000
0.5000 0.0000 0.0000
0.5000 0.0000 0.5000
0.0000 0.0000 0.3104
0.5000 0.5000 0.8104
0.0000 0.0000 0.9958
0.2225 0.2225 0.7438
0.2225 0.7775 0.7438
0.2775 0.2775 0.2438
0.2775 0.7225 0.2438
0.5000 0.5000 0.4958
0.7225 0.2775 0.2438
0.7225 0.7225 0.2438
0.7775 0.2225 0.7438
0.7775 0.7775 0.7438
```

Principal peaks in the range 2θ from 5° to 70°, by angle:
2θ (°), I/Imax
17.75, 7
29.55, 17
33.70, 11
35.94, 100
40.62, 45
43.89, 17
44.65, 8
46.19, 7
58.80, 13
61.34, 22


The following is a theoretical PXRD pattern of Tm12Ga6Ru. It was derived from a crystal structure in Alexandria, relaxed with GGA-PBE, using Cu Kα X-rays.

Structure:
```
Tm12Ga6Ru
1.0
6.2990 3.6367 3.9229
-6.2990 3.6367 3.9229
0.0000 -7.2734 3.9229
Tm Ga Ru
12 6 1
Direct
0.0390 0.9298 0.6832
0.0702 0.3168 0.9610
0.1824 0.5685 0.4296
0.3168 0.9610 0.0702
0.4296 0.1824 0.5685
0.4315 0.5704 0.8176
0.5685 0.4296 0.1824
0.5704 0.8176 0.4315
0.6832 0.0390 0.9298
0.8176 0.4315 0.5704
0.9298 0.6832 0.0390
0.9610 0.0702 0.3168
0.1351 0.3026 0.6221
0.3026 0.6221 0.1351
0.3779 0.8649 0.6974
0.6221 0.1351 0.3026
0.6974 0.3779 0.8649
0.8649 0.6974 0.3779
0.0000 0.0000 0.0000
```

Principal peaks in the range 2θ from 5° to 70°, by angle:
2θ (°), I/Imax
22.22, 19
22.85, 27
24.48, 18
26.39, 100
31.49, 41
33.30, 65
37.55, 82
37.79, 88
54.33, 28
55.17, 21


The following is a theoretical PXRD pattern of LiMgCd4Au2. It was derived from a crystal structure in Alexandria, relaxed with GGA-PBE, using Cu Kα X-rays.

Structure:
```
LiMgCd4Au2
1.0
4.0450 0.0000 0.0000
0.0000 4.0450 0.0000
0.0000 0.0000 11.0350
Li Mg Cd Au
1 1 4 2
Direct
0.0000 0.0000 0.0000
0.0000 0.0000 0.5000
0.0000 0.5000 0.1883
0.0000 0.5000 0.8117
0.5000 0.0000 0.1883
0.5000 0.0000 0.8117
0.5000 0.5000 0.3794
0.5000 0.5000 0.6206
```

Principal peaks in the range 2θ from 5° to 70°, by angle:
2θ (°), I/Imax
8.01, 39
16.06, 43
21.97, 70
23.42, 65
32.33, 96
35.35, 47
39.54, 43
39.93, 100
44.81, 65
62.26, 32